Starting from a DFT-relaxed cell (PBE+U, Alexandria), the X-ray diffraction stick pattern of Na3TaCr3O8 was calculated for CuKα.
Kinematic intensities with the Lorentz-polarization factor, no thermal factor.

Crystal structure
```
data_Na3TaCr3O8
_chemical_formula_sum 'Na6 Ta2 Cr6 O16'
_cell_length_a 10.895
_cell_length_b 6.099
_cell_length_c 6.568
_cell_angle_alpha 90.00
_cell_angle_beta 122.53
_cell_angle_gamma 90.00
_space_group_name_H-M_alt 'C 1 2/m 1'
_space_group_IT_number 12
_space_group_name_Hall '-C 2y'
loop_
_atom_site_label
_atom_site_type_symbol
_atom_site_fract_x
_atom_site_fract_y
_atom_site_fract_z
_atom_site_occupancy
Na1 Na 0.000 0.000 0.000 1
Na2 Na 0.250 0.250 0.000 1
Ta1 Ta 0.000 0.000 0.500 1
Cr1 Cr 0.000 0.500 0.500 1
Cr2 Cr 0.250 0.250 0.500 1
O1 O 0.006 0.242 0.298 1
O2 O 0.220 0.000 0.689 1
O3 O 0.224 0.500 0.685 1
```

Top 10 peaks for 2θ from 10° to 90°, low angle first:
(0 0 1), 16.00°, rel. 100; (2 0 -1), 17.22°, rel. 21; (1 1 0), 17.45°, rel. 36; (0 0 2), 32.33°, rel. 17; (4 0 -1), 33.21°, rel. 18; (2 2 -1), 34.17°, rel. 19; (2 2 0), 35.33°, rel. 22; (4 0 0), 39.23°, rel. 28; (2 2 -2), 40.42°, rel. 52; (2 2 2), 55.92°, rel. 16